CdCl: theoretical X-ray diffraction stick pattern (Cu Kα (weighted mean of Kα1 and Kα2)), based on a crystal structure in Alexandria, relaxed with GGA-PBE.
Intensities are scaled so that the largest is 100.

Largest 12 diffraction maxima, in order of rising 2θ, 2θ from 10° to 80°:
2theta	I_rel
10.2	100
28.1	49
32.3	95
36.6	32
44.5	32
48.1	31
49.3	13
59.1	15
65.5	12
67.6	14
74.2	10
79.6	12

Cell and atoms:
```
data_CdCl
_chemical_formula_sum 'Cd6 Cl6'
_cell_length_a 3.782
_cell_length_b 3.782
_cell_length_c 25.988
_cell_angle_alpha 90.00
_cell_angle_beta 90.00
_cell_angle_gamma 120.00
_space_group_name_H-M_alt 'P 1'
_space_group_IT_number 1
_space_group_name_Hall 'P 1'
loop_
_atom_site_label
_atom_site_fract_x
_atom_site_fract_y
_atom_site_fract_z
Cd1 0.000 0.000 0.209
Cd2 0.000 0.000 0.791
Cd3 0.333 0.667 0.126
Cd4 0.333 0.667 0.541
Cd5 0.667 0.333 0.459
Cd6 0.667 0.333 0.874
Cl1 0.000 0.000 0.399
Cl2 0.000 0.000 0.601
Cl3 0.333 0.667 0.732
Cl4 0.333 0.667 0.934
Cl5 0.667 0.333 0.066
Cl6 0.667 0.333 0.268
```